For Cs5K7, DFT lattice parameters and positions (GGA-PBE) gives the computed XRD peak list in this record (Cu Kα, 1.54184 Å).
No peak broadening, texture or thermal motion is included.

```
Cs5K7
1.0
5.088 0.000 0.000
0.000 15.209 0.000
0.000 0.000 13.760
Cs K
5 7
direct
0.000 0.000 0.000
0.000 0.342 0.539
0.000 0.658 0.539
0.500 0.168 0.281
0.500 0.832 0.281
0.000 0.000 0.563
0.000 0.336 0.019
0.000 0.664 0.019
0.500 0.180 0.779
0.500 0.500 0.250
0.500 0.500 0.806
0.500 0.820 0.779
```

Top 6 peaks for 2θ from 10° to 90°, by angle:
Position (°2θ)  I (rel.)  h k l
21.75  100  1 0 2
24.79  38  1 3 0
25.90  14  0 0 4
36.16  23  1 3 4
41.88  33  2 3 2
43.29  12  1 0 6